This entry pairs a crystal structure of Rb2TlVF6 with its computed X-ray powder pattern. Radiation: a wavelength of 1.5418 Å. Structure: a DFT-relaxed cell (GGA+U, the Materials Project).
Lines closer than 0.1° are merged.

Peak list (6 most intense, 10° ≤ 2θ ≤ 90°, most intense first)
two_theta, intensity
27.26, 100
48.18, 39
38.94, 34
77.14, 23
56.24, 21
63.60, 21

Structure:
abc: 6.5426 6.5426 6.5426
angles: 60.00 60.00 60.00
Sites, in units of the cell vectors:
Rb 0.2500 0.2500 0.2500
Rb 0.7500 0.7500 0.7500
Tl 0.0000 0.0000 0.0000
V 0.5000 0.5000 0.5000
F 0.2878 0.2878 0.7122
F 0.2878 0.7122 0.2878
F 0.2878 0.7122 0.7122
F 0.7122 0.2878 0.2878
F 0.7122 0.2878 0.7122
F 0.7122 0.7122 0.2878

This entry pairs a crystal structure of LiTiFeO4 with its computed X-ray powder pattern. Radiation: a wavelength of 1.5418 Å. Structure: a DFT-relaxed cell (GGA+U, the Materials Project).
Lines closer than 0.1° are merged.

Peak list (6 most intense, 10° ≤ 2θ ≤ 90°, most intense first)
two_theta, intensity
12.29, 100
19.23, 56
36.01, 39
28.21, 31
56.90, 24
39.09, 22

Structure:
abc: 9.9622 2.9995 10.4152
angles: 90.00 90.00 90.00
Sites, in units of the cell vectors:
Li 0.1283 0.2500 0.1251
Li 0.3717 0.7500 0.6251
Li 0.6283 0.2500 0.3749
Li 0.8717 0.7500 0.8749
Ti 0.2289 0.7500 0.8541
Ti 0.2711 0.2500 0.3541
Ti 0.7289 0.7500 0.6459
Ti 0.7711 0.2500 0.1459
Fe 0.0063 0.2500 0.6312
Fe 0.4937 0.7500 0.1312
Fe 0.5063 0.2500 0.8688
Fe 0.9937 0.7500 0.3688
O 0.1031 0.2500 0.4587
O 0.1032 0.7500 0.7155
O 0.1538 0.2500 0.9412
O 0.1598 0.7500 0.2523
O 0.3402 0.2500 0.7523
O 0.3462 0.7500 0.4412
O 0.3968 0.2500 0.2155
O 0.3969 0.7500 0.9587
O 0.6031 0.2500 0.0413
O 0.6032 0.7500 0.7845
O 0.6538 0.2500 0.5588
O 0.6598 0.7500 0.2477
O 0.8402 0.2500 0.7477
O 0.8462 0.7500 0.0588
O 0.8968 0.2500 0.2845
O 0.8969 0.7500 0.5413